# 1
The following is a computed X-ray powder pattern of ZnAgSn. It was derived from a cell relaxed with GGA-PBE, using a wavelength of 1.5418 Å.

Principal peaks in the range 10° ≤ 2θ ≤ 90°, by intensity:
| 2θ/deg | I_rel | h k l |
| --- | --- | --- |
| 37.0 | 100 | -1 1 1 |
| 38.2 | 63 | 1 0 2 |
| 38.4 | 59 | 1 1 -2 |
| 40.2 | 46 | 0 1 3 |
| 43.8 | 45 | 2 1 0 |
| 41.3 | 35 | 1 2 2 |
| 25.9 | 29 | 1 1 1 |
| 27.2 | 28 | 0 1 -1 |

Atomic structure:
```
data_ZnAgSn
_space_group_name_H-M_alt 'P -1'
_space_group_IT_number 2
_space_group_name_Hall '-P 1'
_cell_length_a 4.1311
_cell_length_b 5.0160
_cell_length_c 6.9110
_cell_angle_alpha 75.35
_cell_angle_beta 89.89
_cell_angle_gamma 65.86
loop_
_atom_site_label
_atom_site_type_symbol
_atom_site_fract_x
_atom_site_fract_y
_atom_site_fract_z
_atom_site_occupancy
Zn1 Zn 0.0967 0.3054 0.1874 1
Ag1 Ag 0.3757 0.7462 0.0858 1
Sn1 Sn 0.1752 0.1573 0.6352 1
```

=====

# 2
The following is a computed X-ray powder pattern of KBaTl2Br8. It was derived from a cell relaxed with GGA-PBE, using a wavelength of 1.5418 Å.

Principal peaks in the range 10° ≤ 2θ ≤ 90°, by intensity:
| 2θ/deg | I_rel | h k l |
| --- | --- | --- |
| 16.0 | 100 | 0 1 1 |
| 29.0 | 54 | 2 0 1 |
| 25.3 | 54 | 1 1 1 |
| 42.2 | 49 | 3 0 0 |
| 40.9 | 40 | 1 1 4 |
| 24.0 | 37 | 1 1 0 |
| 21.3 | 33 | 1 0 2 |
| 38.0 | 29 | 3 -2 1 |

Atomic structure:
```
data_KBaTl2Br8
_space_group_name_H-M_alt 'P -3'
_space_group_IT_number 147
_space_group_name_Hall '-P 3'
_cell_length_a 7.4173
_cell_length_b 7.4173
_cell_length_c 11.0000
_cell_angle_alpha 90.00
_cell_angle_beta 90.00
_cell_angle_gamma 120.00
loop_
_atom_site_label
_atom_site_type_symbol
_atom_site_fract_x
_atom_site_fract_y
_atom_site_fract_z
_atom_site_occupancy
K1 K 0.0000 0.0000 0.0000 1
Ba1 Ba 0.0000 0.0000 0.5000 1
Tl1 Tl 0.3333 0.6667 0.7707 1
Br1 Br 0.0240 0.6878 0.3024 1
Br2 Br 0.3333 0.6667 0.0128 1
```

=====

# 3
The following is a computed X-ray powder pattern of SmYCu3. It was derived from a cell relaxed with GGA-PBE, using a wavelength of 1.5418 Å.

Principal peaks in the range 10° ≤ 2θ ≤ 90°, by intensity:
| 2θ/deg | I_rel | h k l |
| --- | --- | --- |
| 33.6 | 100 | 1 3 1 |
| 34.4 | 55 | 1 7 0 |
| 41.0 | 45 | 0 10 1 |
| 42.1 | 30 | 0 0 2 |
| 55.4 | 27 | 1 7 2 |
| 36.5 | 25 | 1 5 1 |
| 65.8 | 21 | 2 10 1 |
| 49.0 | 19 | 2 0 0 |

Atomic structure:
```
data_SmYCu3
_space_group_name_H-M_alt 'C m c m'
_space_group_IT_number 63
_space_group_name_Hall '-C 2c 2'
_cell_length_a 3.7171
_cell_length_b 25.6010
_cell_length_c 4.2949
_cell_angle_alpha 90.00
_cell_angle_beta 90.00
_cell_angle_gamma 90.00
loop_
_atom_site_label
_atom_site_type_symbol
_atom_site_fract_x
_atom_site_fract_y
_atom_site_fract_z
_atom_site_occupancy
Sm1 Sm 0.0000 0.0715 0.2500 1
Y1 Y 0.0000 0.2042 0.7500 1
Cu1 Cu 0.0000 0.3280 0.7500 1
Cu2 Cu 0.0000 0.3813 0.2500 1
Cu3 Cu 0.0000 0.4768 0.2500 1
```